# 1
Calculated X-ray powder pattern
Compound: LuAgTe2
Radiation: Cu Kα X-rays
Structure: a crystal structure in the Materials Project, relaxed with PBE
Peak positions follow from Bragg's law for the DFT cell and can differ from measured ones.

The 6 most intense peaks (2θ from 15° to 90°), most intense first:
hkl 1 0 1, 2θ 26.16, d 3.407, I 100.0
hkl 1 0 2, 2θ 33.67, d 2.662, I 72.2
hkl 1 1 0, 2θ 40.70, d 2.217, I 60.7
hkl 0 1 3, 2θ 43.67, d 2.073, I 46.0
hkl 0 2 2, 2θ 53.82, d 1.703, I 18.9
hkl 0 2 1, 2θ 49.02, d 1.858, I 18.0

Structural model:
Cell: 4.4338 4.4338 7.3862 Å, 90.00 90.00 120.00°
Space group P3m1 (No. 156)
Unique sites:
Lu (0.0000, 0.0000, 0.0000) [1 per cell]
Ag (0.3333, 0.6667, 0.4104) [1 per cell]
Te (0.3333, 0.6667, 0.7851) [1 per cell]
Te (0.6667, 0.3333, 0.2395) [1 per cell]



# 2
Calculated X-ray powder pattern
Compound: Ba5Sc6O14
Radiation: Cu Kα X-rays
Structure: a crystal structure in the Materials Project, relaxed with PBE
Peak positions follow from Bragg's law for the DFT cell and can differ from measured ones.

The 6 most intense peaks (2θ from 15° to 90°), most intense first:
hkl 3 1 2, 2θ 26.55, d 3.357, I 100.0
hkl 1 3 2, 2θ 27.14, d 3.286, I 85.5
hkl 0 0 2, 2θ 15.02, d 5.898, I 35.5
hkl 4 0 2, 2θ 31.54, d 2.837, I 34.0
hkl 3 1 0, 2θ 21.77, d 4.083, I 29.8
hkl 3 3 1, 2θ 30.80, d 2.903, I 27.3

Structural model:
Cell: 12.9637 12.4652 11.7970 Å, 90.00 90.00 90.00°
Space group Cmc2_1 (No. 36)
Unique sites:
Ba (0.0000, 0.0212, 0.0000) [4 per cell]
Ba (0.1406, 0.3204, 0.9588) [8 per cell]
Ba (0.1582, 0.3879, 0.5141) [8 per cell]
Sc (0.0000, 0.2010, 0.6999) [4 per cell]
Sc (0.0000, 0.4964, 0.2281) [4 per cell]
Sc (0.1423, 0.1468, 0.2690) [8 per cell]
Sc (0.2429, 0.0984, 0.7353) [8 per cell]
O (0.0000, 0.1308, 0.3280) [4 per cell]
O (0.0000, 0.1968, 0.8655) [4 per cell]
O (0.0000, 0.3572, 0.6559) [4 per cell]
O (0.0000, 0.4905, 0.8940) [4 per cell]
O (0.1264, 0.1350, 0.6317) [8 per cell]
O (0.1278, 0.4375, 0.1508) [8 per cell]
O (0.1569, 0.1474, 0.1032) [8 per cell]
O (0.2171, 0.2766, 0.3334) [8 per cell]
O (0.2235, 0.0248, 0.3422) [8 per cell]



# 3
Calculated X-ray powder pattern
Compound: NaBiS2
Radiation: Cu Kα X-rays
Structure: a crystal structure in the Materials Project, relaxed with PBE
Peak positions follow from Bragg's law for the DFT cell and can differ from measured ones.

The 6 most intense peaks (2θ from 15° to 90°), most intense first:
hkl 1 1 1, 2θ 17.11, d 5.181, I 100.0
hkl 2 0 2, 2θ 31.01, d 2.884, I 61.5
hkl 0 2 2, 2θ 26.57, d 3.354, I 56.1
hkl 2 4 2, 2θ 43.91, d 2.062, I 46.1
hkl 0 4 0, 2θ 30.31, d 2.949, I 33.0
hkl 1 3 1, 2θ 27.45, d 3.249, I 27.7

Structural model:
Cell: 8.1412 11.7957 8.1712 Å, 90.00 90.00 90.00°
Space group Fdd2 (No. 43)
Unique sites:
Na (0.0000, 0.0000, 0.0000) [8 per cell]
Bi (0.0000, 0.0000, 0.4840) [8 per cell]
S (0.0098, 0.2405, 0.5111) [16 per cell]



# 4
Calculated X-ray powder pattern
Compound: MgO
Radiation: Cu Kα X-rays
Structure: a crystal structure in the Materials Project, relaxed with PBE
Peak positions follow from Bragg's law for the DFT cell and can differ from measured ones.

The 6 most intense peaks (2θ from 15° to 90°), most intense first:
hkl 1 1 0, 2θ 55.84, d 1.646, I 100.0
hkl 0 0 6, 2θ 34.32, d 2.613, I 93.1
hkl 1 0 1, 2θ 31.90, d 2.805, I 87.7
hkl 1 0 3, 2θ 35.88, d 2.503, I 83.9
hkl 1 0 9, 2θ 62.48, d 1.486, I 63.5
hkl 1 1 6, 2θ 67.21, d 1.393, I 62.7

Structural model:
Cell: 3.2926 3.2926 15.6759 Å, 90.00 90.00 120.00°
Space group P3m1 (No. 156)
Unique sites:
Mg (0.0000, 0.0000, 0.0000) [1 per cell]
Mg (0.0000, 0.0000, 0.3302) [1 per cell]
Mg (0.3333, 0.6667, 0.6647) [1 per cell]
Mg (0.6667, 0.3333, 0.1651) [1 per cell]
Mg (0.6667, 0.3333, 0.4961) [1 per cell]
Mg (0.6667, 0.3333, 0.8317) [1 per cell]
O (0.0000, 0.0000, 0.1272) [1 per cell]
O (0.0000, 0.0000, 0.4574) [1 per cell]
O (0.3333, 0.6667, 0.7925) [1 per cell]
O (0.6667, 0.3333, 0.2922) [1 per cell]
O (0.6667, 0.3333, 0.6249) [1 per cell]
O (0.6667, 0.3333, 0.9606) [1 per cell]